This entry pairs a crystal structure of ZnH2SeO4 with its calculated XRD peak list. Radiation: Cu Kα. Structure: a cell relaxed with GGA-PBE.
Kinematic intensities with the Lorentz-polarization factor, no thermal factor.

Atomic structure:
```
ZnH2SeO4
1.0
4.747 0.000 0.000
0.000 12.522 0.000
-4.556 0.000 5.659
Zn H Se O
4 8 4 16
Direct
0.186 0.230 0.376 Zn
0.186 0.270 0.876 Zn
0.814 0.730 0.124 Zn
0.814 0.770 0.624 Zn
0.271 0.607 0.959 H
0.271 0.893 0.459 H
0.450 0.627 0.227 H
0.450 0.873 0.727 H
0.550 0.127 0.273 H
0.550 0.373 0.773 H
0.729 0.107 0.541 H
0.729 0.393 0.041 H
0.394 0.591 0.619 Se
0.394 0.909 0.119 Se
0.606 0.091 0.881 Se
0.606 0.409 0.381 Se
0.054 0.623 0.626 O
0.054 0.877 0.126 O
0.243 0.171 0.659 O
0.243 0.329 0.159 O
0.310 0.669 0.387 O
0.310 0.831 0.887 O
0.494 0.107 0.380 O
0.494 0.393 0.880 O
0.506 0.607 0.120 O
0.506 0.893 0.620 O
0.690 0.169 0.113 O
0.690 0.331 0.613 O
0.757 0.671 0.841 O
0.757 0.829 0.341 O
0.946 0.123 0.874 O
0.946 0.377 0.374 O
```

Main lines, low angle first (2θ = 5–70°):
14.15°, d = 6.261 Å, rel. 38; 17.20°, d = 5.157 Å, rel. 34; 21.16°, d = 4.198 Å, rel. 18; 23.53°, d = 3.781 Å, rel. 58; 28.03°, d = 3.183 Å, rel. 17; 28.74°, d = 3.106 Å, rel. 36; 32.39°, d = 2.764 Å, rel. 100; 32.98°, d = 2.716 Å, rel. 35; 38.22°, d = 2.355 Å, rel. 28; 39.32°, d = 2.291 Å, rel. 20